Simulated powder XRD pattern of PrNd2Er4 for λ = 1.5418 Å (Cu Kα), from a structure optimized by DFT (GGA-PBE).
Peak positions follow from Bragg's law for the DFT cell and can differ from measured ones.

Structural model:
```
14
Lattice="6.125 0.000 0.000 0.000 6.613 0.000 -2.878 0.000 11.302" Properties=species:S:1:pos:R:3 pbc="T T T"
Pr -0.806 1.653 4.116
Pr 4.053 4.959 7.186
Nd -1.779 1.653 10.757
Nd 0.956 4.959 5.807
Nd 2.292 1.653 5.494
Nd 5.027 4.959 0.545
Er -1.031 1.653 7.555
Er -0.913 4.959 10.411
Er 1.494 3.360 2.370
Er 1.494 6.559 2.370
Er 1.754 0.053 8.932
Er 1.754 3.253 8.932
Er 4.161 1.653 0.891
Er 4.278 4.959 3.747
```

Principal peaks in the range 2θ = 10–90°, in order of rising 2θ:
2θ = 28.16°, intensity 36; 2θ = 29.16°, intensity 53; 2θ = 31.00°, intensity 54; 2θ = 31.10°, intensity 85; 2θ = 31.35°, intensity 52; 2θ = 31.53°, intensity 75; 2θ = 32.91°, intensity 47; 2θ = 33.09°, intensity 100; 2θ = 33.32°, intensity 29; 2θ = 36.16°, intensity 33

Simulated powder XRD pattern of Pr2Nd3Er for λ = 1.5418 Å (Cu Kα), from a structure optimized by DFT (GGA-PBE).
Peak positions follow from Bragg's law for the DFT cell and can differ from measured ones.

Structural model:
```
12
Lattice="4.590 -5.028 0.000 4.590 5.028 0.000 -1.841 0.000 9.003" Properties=species:S:1:pos:R:3 pbc="T T T"
Pr 1.824 2.558 7.890
Pr 4.594 2.558 5.614
Pr 2.745 -2.558 3.389
Pr 5.515 -2.558 1.112
Nd 1.398 0.839 4.507
Nd 2.318 -0.839 0.005
Nd 4.130 0.856 2.251
Nd 3.209 -0.856 6.752
Nd 5.020 0.839 8.997
Nd 5.941 -0.839 4.496
Er 4.130 4.196 2.251
Er 3.209 -4.196 6.752
```

Principal peaks in the range 2θ = 10–90°, in order of rising 2θ:
2θ = 30.79°, intensity 100; 2θ = 40.08°, intensity 7; 2θ = 44.10°, intensity 17; 2θ = 54.76°, intensity 29; 2θ = 61.10°, intensity 17; 2θ = 64.15°, intensity 6; 2θ = 72.84°, intensity 8; 2θ = 78.38°, intensity 7; 2θ = 86.53°, intensity 5; 2θ = 89.24°, intensity 7

Simulated powder XRD pattern of Pr4Nd2Er3 for λ = 1.5418 Å (Cu Kα), from a structure optimized by DFT (GGA-PBE).
Peak positions follow from Bragg's law for the DFT cell and can differ from measured ones.

Structural model:
```
9
Lattice="3.641 0.000 0.000 -1.821 3.153 0.000 0.000 0.000 27.167" Properties=species:S:1:pos:R:3 pbc="T T T"
Pr 0.000 0.000 0.000
Pr 0.000 0.000 5.748
Pr 0.000 2.102 8.910
Pr 0.000 2.102 14.712
Nd 0.000 0.000 17.838
Nd 0.000 0.000 23.540
Er 0.000 0.000 11.808
Er 0.000 2.102 2.837
Er 0.000 2.102 20.726
```

Principal peaks in the range 2θ = 10–90°, in order of rising 2θ:
2θ = 28.30°, intensity 46; 2θ = 29.59°, intensity 47; 2θ = 31.27°, intensity 63; 2θ = 32.84°, intensity 100; 2θ = 41.41°, intensity 29; 2θ = 50.11°, intensity 37; 2θ = 55.61°, intensity 31; 2θ = 59.27°, intensity 40; 2θ = 61.22°, intensity 18; 2θ = 82.94°, intensity 14

Simulated powder XRD pattern of Pr7NdEr2 for λ = 1.5418 Å (Cu Kα), from a structure optimized by DFT (GGA-PBE).
Peak positions follow from Bragg's law for the DFT cell and can differ from measured ones.

Structural model:
```
10
Lattice="6.332 0.000 0.000 -1.065 6.280 0.000 -3.136 -2.701 8.782" Properties=species:S:1:pos:R:3 pbc="T T T"
Pr 0.000 0.000 0.000
Pr 0.013 3.209 1.734
Pr -1.034 -1.253 6.187
Pr 1.085 0.178 3.499
Pr 1.045 3.401 5.284
Pr 3.165 4.831 2.596
Pr 2.118 0.370 7.048
Nd -2.100 1.789 4.391
Er -1.033 1.970 7.927
Er 3.164 1.609 0.855
```

Principal peaks in the range 2θ = 10–90°, in order of rising 2θ:
2θ = 29.78°, intensity 100; 2θ = 29.95°, intensity 33; 2θ = 34.57°, intensity 67; 2θ = 49.61°, intensity 16; 2θ = 49.81°, intensity 24; 2θ = 58.93°, intensity 19; 2θ = 59.04°, intensity 24; 2θ = 59.23°, intensity 9; 2θ = 61.86°, intensity 12; 2θ = 83.47°, intensity 9

Simulated powder XRD pattern of PrNdEr3 for λ = 1.5418 Å (Cu Kα), from a structure optimized by DFT (GGA-PBE).
Peak positions follow from Bragg's law for the DFT cell and can differ from measured ones.

Structural model:
```
10
Lattice="8.711 -3.417 0.000 8.711 3.417 0.000 -2.023 0.000 5.599" Properties=species:S:1:pos:R:3 pbc="T T T"
Pr 0.000 0.000 0.000
Pr -1.012 0.000 2.800
Nd 6.410 0.000 3.918
Nd 8.988 0.000 1.681
Er 5.830 1.620 0.540
Er 3.017 0.000 2.676
Er 9.568 1.620 5.059
Er 5.830 -1.620 0.540
Er 12.381 0.000 2.923
Er 9.568 -1.620 5.059
```

Principal peaks in the range 2θ = 10–90°, in order of rising 2θ:
2θ = 29.52°, intensity 28; 2θ = 30.02°, intensity 29; 2θ = 30.65°, intensity 100; 2θ = 31.16°, intensity 76; 2θ = 33.28°, intensity 26; 2θ = 34.17°, intensity 53; 2θ = 36.82°, intensity 19; 2θ = 52.79°, intensity 34; 2θ = 53.68°, intensity 34; 2θ = 63.34°, intensity 19

Simulated powder XRD pattern of Pr5Nd3Er for λ = 1.5418 Å (Cu Kα), from a structure optimized by DFT (GGA-PBE).
Peak positions follow from Bragg's law for the DFT cell and can differ from measured ones.

Structural model:
```
18
Lattice="5.813 -5.796 0.000 5.813 5.796 0.000 -5.098 0.000 10.697" Properties=species:S:1:pos:R:3 pbc="T T T"
Pr -1.601 0.000 4.064
Pr 1.694 2.718 3.750
Pr -2.345 0.000 9.692
Pr 5.813 2.953 0.000
Pr 4.834 2.718 6.946
Pr 1.694 -2.718 3.750
Pr 5.813 -2.953 0.000
Pr 8.873 0.000 1.005
Pr 4.834 -2.718 6.946
Pr 8.129 0.000 6.633
Nd 0.613 0.000 1.669
Nd 0.068 0.000 6.960
Nd 5.813 0.000 0.000
Nd 3.264 0.000 5.348
Nd 6.460 0.000 3.737
Nd 5.915 0.000 9.027
Er 3.716 0.000 2.196
Er 2.812 0.000 8.500
```

Principal peaks in the range 2θ = 10–90°, in order of rising 2θ:
2θ = 15.29°, intensity 72; 2θ = 23.60°, intensity 43; 2θ = 26.77°, intensity 47; 2θ = 30.86°, intensity 100; 2θ = 31.10°, intensity 60; 2θ = 31.73°, intensity 66; 2θ = 32.52°, intensity 51; 2θ = 38.23°, intensity 36; 2θ = 38.75°, intensity 48; 2θ = 45.44°, intensity 35

Simulated powder XRD pattern of Pr3Nd2Er4 for λ = 1.5418 Å (Cu Kα), from a structure optimized by DFT (GGA-PBE).
Peak positions follow from Bragg's law for the DFT cell and can differ from measured ones.

Structural model:
```
9
Lattice="6.254 0.000 0.000 1.045 6.179 0.000 2.068 0.694 7.769" Properties=species:S:1:pos:R:3 pbc="T T T"
Pr 0.000 0.000 0.000
Pr 4.153 5.648 1.734
Pr 5.214 1.225 6.035
Nd 4.153 4.585 5.183
Nd 5.214 2.288 2.586
Er 2.066 1.784 4.299
Er 2.086 2.842 0.871
Er 7.281 4.031 6.898
Er 7.301 5.089 3.470
```

Principal peaks in the range 2θ = 10–90°, in order of rising 2θ:
2θ = 30.29°, intensity 100; 2θ = 35.09°, intensity 34; 2θ = 35.18°, intensity 17; 2θ = 50.50°, intensity 30; 2θ = 50.60°, intensity 6; 2θ = 60.01°, intensity 22; 2θ = 60.12°, intensity 18; 2θ = 63.03°, intensity 9; 2θ = 82.16°, intensity 6; 2θ = 82.24°, intensity 9

Simulated powder XRD pattern of Pr3Nd3Er5 for λ = 1.5418 Å (Cu Kα), from a structure optimized by DFT (GGA-PBE).
Peak positions follow from Bragg's law for the DFT cell and can differ from measured ones.

Structural model:
```
11
Lattice="9.719 0.000 0.000 -4.859 8.417 0.000 0.000 0.000 5.473" Properties=species:S:1:pos:R:3 pbc="T T T"
Pr -1.304 2.258 0.000
Pr 2.608 0.000 0.000
Pr 3.555 6.158 0.000
Nd -2.074 3.592 2.736
Nd 4.147 0.000 2.736
Nd 2.786 4.825 2.736
Er -3.085 5.344 0.000
Er 0.000 5.611 0.000
Er 1.774 3.073 0.000
Er 6.171 0.000 0.000
Er 4.859 2.806 0.000
```

Principal peaks in the range 2θ = 10–90°, in order of rising 2θ:
2θ = 10.51°, intensity 48; 2θ = 16.20°, intensity 84; 2θ = 26.72°, intensity 57; 2θ = 31.90°, intensity 88; 2θ = 32.56°, intensity 100; 2θ = 32.73°, intensity 65; 2θ = 35.97°, intensity 89; 2θ = 42.08°, intensity 46; 2θ = 46.35°, intensity 63; 2θ = 60.58°, intensity 41

Simulated powder XRD pattern of Pr2Nd12Er5 for λ = 1.5418 Å (Cu Kα), from a structure optimized by DFT (GGA-PBE).
Peak positions follow from Bragg's law for the DFT cell and can differ from measured ones.

Structural model:
```
19
Lattice="6.548 -5.872 0.000 6.548 5.872 0.000 -4.201 0.000 8.499" Properties=species:S:1:pos:R:3 pbc="T T T"
Pr 6.548 3.213 0.000
Pr 6.548 -3.213 0.000
Nd 3.164 2.866 1.690
Nd -2.265 0.000 6.652
Nd 2.685 3.297 4.947
Nd 6.211 3.297 3.552
Nd 4.765 0.000 0.503
Nd 5.731 2.866 6.809
Nd 3.164 -2.866 1.690
Nd 4.130 0.000 7.996
Nd 2.685 -3.297 4.947
Nd 6.211 -3.297 3.552
Nd 11.160 0.000 1.847
Nd 5.731 -2.866 6.809
Er 1.506 0.000 2.000
Er 1.210 0.000 5.622
Er 4.448 0.000 4.249
Er 7.686 0.000 2.877
Er 7.390 0.000 6.499
```

Principal peaks in the range 2θ = 10–90°, in order of rising 2θ:
2θ = 26.39°, intensity 17; 2θ = 30.45°, intensity 50; 2θ = 30.61°, intensity 27; 2θ = 30.97°, intensity 34; 2θ = 31.42°, intensity 100; 2θ = 32.19°, intensity 53; 2θ = 34.22°, intensity 23; 2θ = 43.98°, intensity 22; 2θ = 54.72°, intensity 16; 2θ = 54.88°, intensity 14

Simulated powder XRD pattern of Pr12Nd5Er for λ = 1.5418 Å (Cu Kα), from a structure optimized by DFT (GGA-PBE).
Peak positions follow from Bragg's law for the DFT cell and can differ from measured ones.

Structural model:
```
18
Lattice="3.210 -5.554 0.000 3.210 5.554 0.000 -2.149 0.000 18.000" Properties=species:S:1:pos:R:3 pbc="T T T"
Pr 1.067 3.712 11.972
Pr -0.010 1.854 15.006
Pr 1.075 0.000 2.994
Pr 3.203 3.712 6.027
Pr 1.049 0.000 11.972
Pr -0.010 -1.854 15.006
Pr 4.281 1.854 2.993
Pr 3.222 0.000 6.027
Pr 1.067 -3.712 11.972
Pr 3.195 0.000 15.005
Pr 4.281 -1.854 2.993
Pr 3.203 -3.712 6.027
Nd 3.210 3.703 0.000
Nd 2.135 1.851 9.000
Nd 3.210 0.000 0.000
Nd 2.135 -1.851 9.000
Nd 3.210 -3.703 0.000
Er -1.075 0.000 9.000
```

Principal peaks in the range 2θ = 10–90°, in order of rising 2θ:
2θ = 29.03°, intensity 88; 2θ = 29.78°, intensity 85; 2θ = 30.17°, intensity 33; 2θ = 30.86°, intensity 100; 2θ = 32.46°, intensity 85; 2θ = 35.35°, intensity 53; 2θ = 49.19°, intensity 64; 2θ = 52.48°, intensity 23; 2θ = 58.56°, intensity 75; 2θ = 82.80°, intensity 28

Simulated powder XRD pattern of Pr4Nd8Er3 for λ = 1.5418 Å (Cu Kα), from a structure optimized by DFT (GGA-PBE).
Peak positions follow from Bragg's law for the DFT cell and can differ from measured ones.

Structural model:
```
15
Lattice="6.876 -6.499 0.000 6.876 6.499 0.000 -3.446 0.000 5.977" Properties=species:S:1:pos:R:3 pbc="T T T"
Pr 0.000 0.000 0.000
Pr -1.723 0.000 2.988
Pr 3.438 3.250 0.000
Pr 3.438 -3.250 0.000
Nd 6.876 3.190 0.000
Nd 1.777 0.000 3.125
Nd 3.567 0.000 0.369
Nd 5.153 1.888 2.988
Nd 5.153 -1.888 2.988
Nd 6.739 0.000 5.608
Nd 8.529 0.000 2.852
Nd 6.876 -3.190 0.000
Er 1.715 3.250 2.988
Er 1.715 -3.250 2.988
Er 6.876 0.000 0.000
```

Principal peaks in the range 2θ = 10–90°, in order of rising 2θ:
2θ = 27.45°, intensity 37; 2θ = 29.93°, intensity 100; 2θ = 30.00°, intensity 49; 2θ = 31.35°, intensity 27; 2θ = 38.07°, intensity 17; 2θ = 41.08°, intensity 71; 2θ = 53.13°, intensity 18; 2θ = 53.29°, intensity 10; 2θ = 60.83°, intensity 12; 2θ = 65.41°, intensity 28

Simulated powder XRD pattern of PrNdEr14 for λ = 1.5418 Å (Cu Kα), from a structure optimized by DFT (GGA-PBE).
Peak positions follow from Bragg's law for the DFT cell and can differ from measured ones.

Structural model:
```
16
Lattice="11.412 0.000 0.000 0.000 3.552 6.133 0.000 -3.552 6.133" Properties=species:S:1:pos:R:3 pbc="T T T"
Pr 0.000 0.000 0.000
Nd 0.000 0.000 6.135
Er 0.000 -1.776 3.068
Er 0.000 1.776 3.068
Er 2.879 0.000 8.186
Er 2.882 0.000 2.054
Er 2.905 -1.775 5.110
Er 2.905 1.775 5.110
Er 5.706 0.000 4.090
Er 5.706 -1.776 7.163
Er 5.706 0.000 10.223
Er 5.706 1.776 7.163
Er 8.506 -1.775 5.110
Er 8.506 1.775 5.110
Er 8.530 0.000 2.054
Er 8.533 0.000 8.186
```

Principal peaks in the range 2θ = 10–90°, in order of rising 2θ:
2θ = 30.13°, intensity 41; 2θ = 31.35°, intensity 34; 2θ = 33.12°, intensity 100; 2θ = 37.64°, intensity 23; 2θ = 49.77°, intensity 10; 2θ = 51.58°, intensity 17; 2θ = 56.95°, intensity 21; 2θ = 61.50°, intensity 10; 2θ = 61.62°, intensity 20; 2θ = 62.60°, intensity 11

Simulated powder XRD pattern of Pr5Nd4Er3 for λ = 1.5418 Å (Cu Kα), from a structure optimized by DFT (GGA-PBE).
Peak positions follow from Bragg's law for the DFT cell and can differ from measured ones.

Structural model:
```
12
Lattice="5.282 -2.891 0.000 5.282 2.891 0.000 -5.177 0.000 13.727" Properties=species:S:1:pos:R:3 pbc="T T T"
Pr 0.000 0.000 0.000
Pr 0.967 0.000 6.894
Pr 1.016 0.000 10.450
Pr 4.372 0.000 3.277
Pr 4.421 0.000 6.833
Nd -2.550 0.000 8.641
Nd -2.563 0.000 12.081
Nd 7.951 0.000 1.646
Nd 7.938 0.000 5.086
Er 0.891 0.000 3.334
Er 5.282 0.000 0.000
Er 4.497 0.000 10.393
```

Principal peaks in the range 2θ = 10–90°, in order of rising 2θ:
2θ = 28.72°, intensity 35; 2θ = 28.83°, intensity 30; 2θ = 29.89°, intensity 100; 2θ = 30.94°, intensity 94; 2θ = 31.20°, intensity 41; 2θ = 44.33°, intensity 24; 2θ = 44.50°, intensity 26; 2θ = 53.68°, intensity 13; 2θ = 54.36°, intensity 19; 2θ = 62.99°, intensity 16